Computed XRD peak list
Compound: Nd5Cu2
Radiation: a wavelength of 1.5418 Å
Structure: a crystal structure in Alexandria, relaxed with PBE
No peak broadening, texture or thermal motion is included.

Structural model:
```
data_Nd5Cu2
_chemical_formula_sum 'Nd20 Cu8'
_space_group_name_H-M_alt 'C 1 2/c 1'
_space_group_IT_number 15
_space_group_name_Hall '-C 2yc'
_cell_length_a 17.2143
_cell_length_b 6.7422
_cell_length_c 7.0748
_cell_angle_alpha 90.00
_cell_angle_beta 95.53
_cell_angle_gamma 90.00
loop_
_atom_site_label
_atom_site_fract_x
_atom_site_fract_y
_atom_site_fract_z
Nd1 0.0000 0.0638 0.2500
Nd2 0.0944 0.3933 0.9399
Nd3 0.2192 0.0690 0.2938
Cu1 0.1097 0.1965 0.5646
```

Most intense lines, 2θ from 10° to 90°, low angle first:
| 2θ/deg | d/Å | I/Imax |
| --- | --- | --- |
| 28.6 | 3.118 | 37.5 |
| 29.2 | 3.055 | 100.0 |
| 29.4 | 3.041 | 52.6 |
| 30.8 | 2.900 | 40.3 |
| 31.3 | 2.858 | 60.6 |
| 31.6 | 2.829 | 47.6 |
| 33.9 | 2.647 | 40.2 |
| 34.5 | 2.600 | 37.1 |
| 35.5 | 2.530 | 31.4 |
| 53.5 | 1.712 | 31.5 |



Computed XRD peak list
Compound: Nd2Cu7
Radiation: a wavelength of 1.5418 Å
Structure: a crystal structure in Alexandria, relaxed with PBE
No peak broadening, texture or thermal motion is included.

Structural model:
```
data_Nd2Cu7
_chemical_formula_sum 'Nd12 Cu42'
_space_group_name_H-M_alt 'R -3 m'
_space_group_IT_number 166
_space_group_name_Hall '-R 3 2"'
_cell_length_a 5.2178
_cell_length_b 5.2178
_cell_length_c 37.5837
_cell_angle_alpha 90.00
_cell_angle_beta 90.00
_cell_angle_gamma 120.00
loop_
_atom_site_label
_atom_site_fract_x
_atom_site_fract_y
_atom_site_fract_z
Nd1 0.0000 0.0000 0.0507
Nd2 0.0000 0.0000 0.1483
Cu1 0.0000 0.0000 0.2786
Cu2 0.0000 0.0000 0.3873
Cu3 0.0000 0.0000 0.5000
Cu4 0.0000 0.5000 0.0000
Cu5 0.0011 0.5006 0.1083
```

Most intense lines, 2θ from 10° to 90°, low angle first:
| 2θ/deg | d/Å | I/Imax |
| --- | --- | --- |
| 30.9 | 2.890 | 36.0 |
| 32.9 | 2.725 | 27.2 |
| 34.4 | 2.609 | 43.4 |
| 40.0 | 2.255 | 33.7 |
| 40.8 | 2.213 | 100.0 |
| 43.3 | 2.088 | 17.3 |
| 44.5 | 2.036 | 12.6 |
| 65.9 | 1.417 | 22.7 |
| 72.5 | 1.304 | 21.1 |
| 88.4 | 1.106 | 11.9 |